The following is a simulated XRD peak list of Li3Ni2C4O12. It was derived from a cell relaxed with PBE+U, using a wavelength of 1.5418 Å.
Peak positions follow from Bragg's law for the DFT cell and can differ from measured ones.

Peak list (6 most intense, 10 to 90 degrees two-theta, by intensity)
(hkl)  d [Å]  2θ (°)  I (rel.)
1 0 0  4.706  18.86  100
1 1 1  4.203  21.14  51
0 1 -1  4.920  18.03  40
1 1 -1  3.779  23.54  28
0 2 1  2.794  32.03  24
0 2 0  3.054  29.24  23

Structure:
Unit cell a=5.111 b=6.549 c=7.882 alpha=89.40 beta=81.22 gamma=69.00
Space group P1 (No. 1)
One atom of each set of equivalent atoms:
Li  0.000  0.000  0.000 (multiplicity 1)
Li  0.072  0.456  0.801 (multiplicity 1)
Li  0.318  0.860  0.363 (multiplicity 1)
Ni  0.597  0.450  0.183 (multiplicity 1)
Ni  0.678  0.933  0.672 (multiplicity 1)
C  0.028  0.548  0.428 (multiplicity 1)
C  0.556  0.330  0.891 (multiplicity 1)
C  0.562  0.825  0.967 (multiplicity 1)
C  0.736  0.057  0.382 (multiplicity 1)
O  0.279  0.557  0.389 (multiplicity 1)
O  0.347  0.418  0.014 (multiplicity 1)
O  0.382  0.883  0.859 (multiplicity 1)
O  0.488  0.778  0.121 (multiplicity 1)
O  0.509  0.026  0.454 (multiplicity 1)
O  0.509  0.263  0.751 (multiplicity 1)
O  0.764  0.123  0.228 (multiplicity 1)
O  0.809  0.315  0.920 (multiplicity 1)
O  0.818  0.817  0.906 (multiplicity 1)
O  0.901  0.600  0.587 (multiplicity 1)
O  0.902  0.496  0.318 (multiplicity 1)
O  0.936  0.013  0.474 (multiplicity 1)